(1)
This entry pairs a crystal structure of HoHfTe4 with its calculated XRD peak list. Radiation: Cu Kα. Structure: a structure optimized by DFT (GGA-PBE).
Peak positions follow from Bragg's law for the DFT cell and can differ from measured ones.

```
HoHfTe4
1.0
6.844 0.000 0.000
0.000 4.071 0.000
-0.067 0.000 7.202
Ho Hf Te
1 1 4
Cartesian
0.000 0.000 0.000 Ho
-0.033 2.036 3.601 Hf
1.732 0.000 2.505 Te
1.752 2.036 5.878 Te
5.025 2.036 1.324 Te
5.045 0.000 4.697 Te
```

Main lines, sorted by position (5 to 70 degrees two-theta):
| 2θ (°) | d (Å) | I (rel.) |
| --- | --- | --- |
| 12.94 | 6.844 | 47 |
| 28.11 | 3.175 | 50 |
| 28.30 | 3.153 | 100 |
| 36.40 | 2.468 | 35 |
| 36.59 | 2.456 | 33 |
| 43.78 | 2.068 | 33 |

(2)
This entry pairs a crystal structure of HoHfZn with its calculated XRD peak list. Radiation: Cu Kα. Structure: a structure optimized by DFT (GGA-PBE).
Peak positions follow from Bragg's law for the DFT cell and can differ from measured ones.

```
HoHfZn
1.0
-1.655 1.655 6.058
1.655 -1.655 6.058
1.655 1.655 -6.058
Ho Hf Zn
1 1 1
Cartesian
0.000 0.000 0.000 Ho
0.000 0.000 3.785 Hf
0.000 0.000 8.138 Zn
```

Main lines, sorted by position (5 to 70 degrees two-theta):
| 2θ (°) | d (Å) | I (rel.) |
| --- | --- | --- |
| 27.94 | 3.194 | 15 |
| 35.05 | 2.560 | 100 |
| 38.45 | 2.341 | 41 |
| 55.51 | 1.655 | 14 |
| 60.55 | 1.529 | 18 |
| 67.36 | 1.390 | 30 |

(3)
This entry pairs a crystal structure of HoHf2Zr4 with its calculated XRD peak list. Radiation: Cu Kα. Structure: a structure optimized by DFT (GGA-PBE).
Peak positions follow from Bragg's law for the DFT cell and can differ from measured ones.

```
HoHf2Zr4
1.0
5.219 0.000 0.000
0.000 3.182 0.000
-0.009 0.000 10.633
Ho Hf Zr
1 2 4
Cartesian
0.000 0.000 0.000 Ho
-0.004 0.000 5.316 Hf
2.605 1.591 5.316 Hf
0.000 1.591 2.811 Zr
5.211 1.591 7.822 Zr
2.609 0.000 2.415 Zr
2.601 0.000 8.217 Zr
```

Main lines, sorted by position (5 to 70 degrees two-theta):
| 2θ (°) | d (Å) | I (rel.) |
| --- | --- | --- |
| 8.32 | 10.633 | 33 |
| 33.72 | 2.658 | 30 |
| 34.37 | 2.610 | 32 |
| 37.16 | 2.419 | 100 |
| 48.91 | 1.862 | 21 |
| 63.40 | 1.467 | 22 |

(4)
This entry pairs a crystal structure of HfI4 with its calculated XRD peak list. Radiation: Cu Kα. Structure: a structure optimized by DFT (GGA-PBE).
Peak positions follow from Bragg's law for the DFT cell and can differ from measured ones.

```
HfI4
1.0
7.434 -4.571 0.000
7.434 4.571 0.000
-0.141 0.000 7.187
Hf I
2 8
Cartesian
7.328 3.233 5.390 Hf
7.399 -3.233 1.797 Hf
1.467 0.930 6.658 I
1.537 -0.930 3.065 I
5.572 1.455 4.350 I
9.085 1.455 6.431 I
5.642 -1.455 0.757 I
9.155 -1.455 2.837 I
13.190 0.930 4.123 I
13.260 -0.930 0.529 I
```

Main lines, sorted by position (5 to 70 degrees two-theta):
| 2θ (°) | d (Å) | I (rel.) |
| --- | --- | --- |
| 11.36 | 7.787 | 66 |
| 11.91 | 7.432 | 68 |
| 16.70 | 5.309 | 47 |
| 26.14 | 3.409 | 100 |
| 27.35 | 3.260 | 54 |
| 33.67 | 2.662 | 51 |

(5)
This entry pairs a crystal structure of HfI4 with its calculated XRD peak list. Radiation: Cu Kα. Structure: a structure optimized by DFT (GGA-PBE).
Peak positions follow from Bragg's law for the DFT cell and can differ from measured ones.

```
HfI4
1.0
6.839 0.000 0.000
0.000 6.839 0.000
0.000 0.000 12.889
Hf I
2 8
Cartesian
0.000 0.000 0.000 Hf
3.419 3.419 6.444 Hf
1.534 1.553 11.343 I
1.553 5.304 1.546 I
1.866 1.885 4.899 I
1.885 4.973 7.990 I
4.954 1.866 7.990 I
4.973 4.954 4.899 I
5.285 1.534 1.546 I
5.304 5.285 11.343 I
```

Main lines, sorted by position (5 to 70 degrees two-theta):
| 2θ (°) | d (Å) | I (rel.) |
| --- | --- | --- |
| 14.66 | 6.041 | 55 |
| 22.99 | 3.868 | 100 |
| 37.19 | 2.417 | 22 |
| 38.39 | 2.345 | 41 |
| 44.18 | 2.050 | 29 |
| 46.25 | 1.963 | 15 |

(6)
This entry pairs a crystal structure of LiHfInI6 with its calculated XRD peak list. Radiation: Cu Kα. Structure: a structure optimized by DFT (GGA-PBE).
Peak positions follow from Bragg's law for the DFT cell and can differ from measured ones.

```
LiHfInI6
1.0
7.606 0.000 0.000
-3.803 6.587 0.000
0.000 0.000 14.947
Li Hf In I
2 2 2 12
Cartesian
0.000 4.392 3.737 Li
3.803 2.196 11.210 Li
0.000 4.392 11.210 Hf
3.803 2.196 3.737 Hf
0.000 0.000 0.000 In
0.000 0.000 7.474 In
-1.318 2.465 9.555 I
-2.328 4.214 12.866 I
1.318 2.465 12.866 I
-1.010 6.496 9.555 I
2.793 0.091 2.082 I
1.475 2.374 5.392 I
2.328 4.214 9.555 I
1.010 6.496 12.866 I
4.813 0.091 5.392 I
2.485 4.123 2.082 I
6.131 2.374 2.082 I
5.121 4.123 5.392 I
```

Main lines, sorted by position (5 to 70 degrees two-theta):
| 2θ (°) | d (Å) | I (rel.) |
| --- | --- | --- |
| 14.70 | 6.028 | 32 |
| 17.95 | 4.942 | 33 |
| 26.29 | 3.390 | 100 |
| 33.62 | 2.665 | 63 |
| 41.11 | 2.196 | 36 |
| 43.42 | 2.084 | 24 |

(7)
This entry pairs a crystal structure of K3HfI7 with its calculated XRD peak list. Radiation: Cu Kα. Structure: a structure optimized by DFT (GGA-PBE).
Peak positions follow from Bragg's law for the DFT cell and can differ from measured ones.

```
K3HfI7
1.0
6.008 -5.637 0.000
6.008 5.637 0.000
-5.138 0.000 7.395
K Hf I
3 1 7
Cartesian
0.000 0.000 0.000 K
3.076 2.566 4.387 K
3.076 -2.566 4.387 K
5.919 0.000 1.072 Hf
0.003 1.820 6.184 I
3.186 0.000 1.943 I
6.008 2.780 2.172 I
0.003 -1.820 6.184 I
3.379 0.000 7.329 I
7.522 0.000 3.879 I
6.008 -2.780 2.172 I
```

Main lines, sorted by position (5 to 70 degrees two-theta):
| 2θ (°) | d (Å) | I (rel.) |
| --- | --- | --- |
| 11.93 | 7.417 | 100 |
| 12.76 | 6.936 | 52 |
| 14.85 | 5.967 | 41 |
| 21.72 | 4.091 | 44 |
| 29.93 | 2.985 | 44 |
| 31.28 | 2.860 | 78 |

(8)
This entry pairs a crystal structure of KHfIO6 with its calculated XRD peak list. Radiation: Cu Kα. Structure: a structure optimized by DFT (GGA-PBE).
Peak positions follow from Bragg's law for the DFT cell and can differ from measured ones.

```
KHfIO6
1.0
5.423 0.000 0.000
-2.712 4.697 0.000
0.000 0.000 5.954
K Hf I O
1 1 1 6
Cartesian
0.000 0.000 0.000 K
0.000 3.131 2.977 Hf
2.712 1.566 2.977 I
2.094 0.121 4.070 O
1.152 1.753 1.884 O
3.330 0.121 1.884 O
1.770 2.823 4.070 O
4.271 1.753 4.070 O
3.653 2.823 1.884 O
```

Main lines, sorted by position (5 to 70 degrees two-theta):
| 2θ (°) | d (Å) | I (rel.) |
| --- | --- | --- |
| 14.88 | 5.954 | 100 |
| 18.89 | 4.697 | 32 |
| 24.13 | 3.688 | 88 |
| 33.03 | 2.712 | 42 |
| 36.41 | 2.468 | 46 |
| 45.23 | 2.005 | 54 |

(9)
This entry pairs a crystal structure of KHfTl2I8 with its calculated XRD peak list. Radiation: Cu Kα. Structure: a structure optimized by DFT (GGA-PBE).
Peak positions follow from Bragg's law for the DFT cell and can differ from measured ones.

```
KHfTl2I8
1.0
6.862 0.000 0.000
-0.513 8.514 0.000
-0.046 -0.019 10.093
K Hf Tl I
1 1 2 8
Cartesian
0.000 0.000 0.000 K
-0.023 -0.009 5.047 Hf
3.128 4.239 7.135 Tl
3.175 4.256 2.959 Tl
0.919 6.053 5.030 I
1.411 4.361 0.000 I
1.667 1.057 3.003 I
1.664 1.027 7.108 I
4.638 7.468 2.985 I
4.636 7.438 7.090 I
4.892 4.134 10.093 I
5.384 2.442 5.064 I
```

Main lines, sorted by position (5 to 70 degrees two-theta):
| 2θ (°) | d (Å) | I (rel.) |
| --- | --- | --- |
| 8.76 | 10.093 | 100 |
| 16.11 | 5.501 | 84 |
| 21.88 | 4.063 | 82 |
| 23.93 | 3.719 | 80 |
| 33.76 | 2.655 | 82 |
| 33.93 | 2.642 | 74 |

(10)
This entry pairs a crystal structure of RbLi2HfI8 with its calculated XRD peak list. Radiation: Cu Kα. Structure: a structure optimized by DFT (GGA-PBE).
Peak positions follow from Bragg's law for the DFT cell and can differ from measured ones.

```
RbLi2HfI8
1.0
6.646 0.000 0.000
-0.207 7.340 0.000
-0.054 -0.007 10.089
Rb Li Hf I
1 2 1 8
Cartesian
0.000 0.000 0.000 Rb
3.202 3.664 2.867 Li
3.184 3.669 7.222 Li
-0.027 -0.004 5.044 Hf
1.417 6.196 3.042 I
1.411 6.200 7.058 I
1.570 2.413 5.043 I
1.576 3.503 0.004 I
4.810 3.830 10.085 I
4.816 4.920 5.046 I
4.975 1.132 3.031 I
4.969 1.137 7.047 I
```

Main lines, sorted by position (5 to 70 degrees two-theta):
| 2θ (°) | d (Å) | I (rel.) |
| --- | --- | --- |
| 8.76 | 10.089 | 47 |
| 14.93 | 5.935 | 44 |
| 25.09 | 3.550 | 100 |
| 26.84 | 3.322 | 32 |
| 28.11 | 3.175 | 52 |
| 45.87 | 1.978 | 32 |

(11)
This entry pairs a crystal structure of HfMg2I8 with its calculated XRD peak list. Radiation: Cu Kα. Structure: a structure optimized by DFT (GGA-PBE).
Peak positions follow from Bragg's law for the DFT cell and can differ from measured ones.

```
HfMg2I8
1.0
8.349 -4.358 0.000
8.349 4.358 0.000
-0.087 0.000 7.119
Hf Mg I
1 2 8
Cartesian
0.000 0.000 0.000 Hf
2.649 0.000 2.869 Mg
13.962 0.000 4.250 Mg
2.405 0.000 5.679 I
7.189 2.321 5.415 I
9.422 2.321 1.704 I
5.216 0.000 2.339 I
11.394 0.000 4.780 I
7.189 -2.321 5.415 I
9.422 -2.321 1.704 I
14.205 0.000 1.439 I
```

Main lines, sorted by position (5 to 70 degrees two-theta):
| 2θ (°) | d (Å) | I (rel.) |
| --- | --- | --- |
| 11.45 | 7.726 | 68 |
| 16.91 | 5.242 | 40 |
| 24.59 | 3.620 | 61 |
| 24.86 | 3.582 | 30 |
| 26.31 | 3.387 | 100 |
| 38.38 | 2.345 | 39 |

(12)
This entry pairs a crystal structure of RbNa2HfI8 with its calculated XRD peak list. Radiation: Cu Kα. Structure: a structure optimized by DFT (GGA-PBE).
Peak positions follow from Bragg's law for the DFT cell and can differ from measured ones.

```
RbNa2HfI8
1.0
6.782 0.000 0.000
-0.289 7.621 0.000
-0.026 -0.005 10.384
Rb Na Hf I
1 2 1 8
Cartesian
0.000 0.000 0.000 Rb
3.242 3.808 2.855 Na
3.225 3.808 7.529 Na
-0.013 -0.002 5.192 Hf
1.506 2.439 5.187 I
1.362 6.527 3.159 I
1.361 6.536 7.231 I
1.519 3.673 10.384 I
4.948 3.942 0.001 I
5.106 1.080 3.153 I
5.105 1.089 7.225 I
4.960 5.177 5.198 I
```

Main lines, sorted by position (5 to 70 degrees two-theta):
| 2θ (°) | d (Å) | I (rel.) |
| --- | --- | --- |
| 8.52 | 10.384 | 64 |
| 14.42 | 6.144 | 65 |
| 24.31 | 3.661 | 100 |
| 26.34 | 3.384 | 56 |
| 27.28 | 3.269 | 58 |
| 33.34 | 2.687 | 77 |

(13)
This entry pairs a crystal structure of HfNbSb2I with its calculated XRD peak list. Radiation: Cu Kα. Structure: a structure optimized by DFT (GGA-PBE).
Peak positions follow from Bragg's law for the DFT cell and can differ from measured ones.

```
HfNbSb2I
1.0
5.356 0.000 0.000
0.000 5.356 0.000
0.000 0.000 5.448
Hf Nb Sb I
1 1 2 1
Cartesian
0.000 0.000 0.000 Hf
2.678 2.678 2.724 Nb
0.000 2.678 2.724 Sb
2.678 0.000 2.724 Sb
2.678 2.678 0.000 I
```

Main lines, sorted by position (5 to 70 degrees two-theta):
| 2θ (°) | d (Å) | I (rel.) |
| --- | --- | --- |
| 28.71 | 3.109 | 100 |
| 32.88 | 2.724 | 36 |
| 33.46 | 2.678 | 68 |
| 47.62 | 1.910 | 50 |
| 56.94 | 1.617 | 29 |
| 59.45 | 1.555 | 26 |

(14)
This entry pairs a crystal structure of HfI2O8 with its calculated XRD peak list. Radiation: Cu Kα. Structure: a structure optimized by DFT (GGA-PBE).
Peak positions follow from Bragg's law for the DFT cell and can differ from measured ones.

```
HfI2O8
1.0
6.130 0.000 0.000
-3.065 5.309 0.000
0.000 0.000 6.110
Hf I O
1 2 8
Cartesian
0.000 0.000 0.000 Hf
0.000 3.539 4.498 I
3.065 1.770 1.611 I
0.000 1.661 4.870 O
-1.627 4.478 4.870 O
1.438 0.830 1.239 O
0.000 3.539 2.726 O
3.065 1.770 3.383 O
1.627 4.478 4.870 O
4.692 0.830 1.239 O
3.065 3.648 1.239 O
```

Main lines, sorted by position (5 to 70 degrees two-theta):
| 2θ (°) | d (Å) | I (rel.) |
| --- | --- | --- |
| 22.18 | 4.007 | 100 |
| 29.14 | 3.065 | 48 |
| 33.86 | 2.648 | 24 |
| 45.26 | 2.004 | 17 |
| 47.71 | 1.906 | 26 |
| 54.73 | 1.677 | 14 |